# 1
Mo5As6: simulated powder XRD pattern (Cu Ka), based on a PBE-relaxed structure.
Peak positions follow from Bragg's law for the DFT cell and can differ from measured ones.

```
Mo5As6
1.0
10.4080 0.0000 0.0000
-5.2040 9.0136 0.0000
0.0000 0.0000 6.0575
Mo As
15 18
Cartesian
0.0000 0.0000 0.0000 Mo
-1.5536 2.6909 0.0000 Mo
-1.9240 3.3325 3.0288 Mo
-3.2800 5.6811 3.0288 Mo
-3.6504 6.3227 0.0000 Mo
3.1071 0.0000 0.0000 Mo
1.5536 2.6909 0.0000 Mo
0.0000 6.0091 3.1127 Mo
3.8480 0.0000 3.0288 Mo
1.9240 3.3325 3.0288 Mo
6.5600 0.0000 3.0288 Mo
3.2800 5.6811 3.0288 Mo
5.2040 3.0045 2.9448 Mo
7.3009 0.0000 0.0000 Mo
3.6504 6.3227 0.0000 Mo
0.0000 1.9173 4.2412 As
-3.5436 8.0549 4.2412 As
-1.6501 5.0564 4.9037 As
1.6604 0.9587 1.8163 As
0.0000 4.0567 1.4796 As
-1.6908 6.9852 1.4796 As
1.6501 5.0564 4.9037 As
0.0000 7.9144 4.9037 As
3.5132 2.0283 4.5779 As
1.6908 6.9852 1.4796 As
5.2040 1.0992 1.1538 As
3.5539 3.9572 1.1538 As
6.8948 2.0283 4.5779 As
5.2040 4.9569 4.5779 As
3.5436 8.0549 4.2412 As
6.8541 3.9572 1.1538 As
8.7476 0.9587 1.8163 As
5.2040 7.0963 1.8163 As
```

The 10 most intense peaks (2θ = 10–90°), in order of rising 2θ:
d/Å, I_rel
3.005, 141
2.692, 747
2.311, 330
2.133, 1000
2.112, 147
1.970, 128
1.735, 408
1.458, 105
1.346, 148
1.195, 137


# 2
NiMo4AsN2: simulated powder XRD pattern (Cu Ka), based on a PBE-relaxed structure.
Peak positions follow from Bragg's law for the DFT cell and can differ from measured ones.

```
NiMo4AsN2
1.0
2.9236 0.0000 0.0000
-1.4618 2.5319 0.0000
0.0000 0.0000 13.6080
Ni Mo As N
1 4 1 2
Cartesian
0.0000 0.0000 0.0000 Ni
0.0000 0.0000 4.7849 Mo
0.0000 0.0000 8.8231 Mo
1.4618 0.8440 2.0813 Mo
1.4618 0.8440 11.5267 Mo
1.4618 0.8440 6.8040 As
0.0000 1.6879 3.4217 N
0.0000 1.6879 10.1863 N
```

The 10 most intense peaks (2θ = 10–90°), in order of rising 2θ:
d/Å, I_rel
3.402, 55
2.532, 216
2.268, 173
2.211, 1000
1.689, 138
1.542, 59
1.462, 198
1.298, 95
1.229, 143
1.219, 141


# 3
Zn2Mo2As3P: simulated powder XRD pattern (Cu Ka), based on a PBE-relaxed structure.
Peak positions follow from Bragg's law for the DFT cell and can differ from measured ones.

```
Zn2Mo2As3P
1.0
5.6399 -2.9377 0.0000
5.6399 2.9377 0.0000
-1.8661 0.0000 5.2066
Zn Mo As P
2 2 3 1
Cartesian
0.8039 0.0000 1.9078 Zn
8.6097 0.0000 3.2989 Zn
4.3271 0.1123 0.4593 Mo
5.0866 0.1123 4.7473 Mo
4.7068 1.2203 2.6033 As
2.6118 -1.5607 1.2394 As
6.8019 -1.5607 3.9672 As
5.6399 -1.7503 0.0000 P
```

The 10 most intense peaks (2θ = 10–90°), in order of rising 2θ:
d/Å, I_rel
5.141, 125
3.392, 977
3.028, 1000
2.077, 309
2.000, 431
1.970, 403
1.771, 304
1.732, 162
1.694, 191
1.469, 99


# 4
MoAs2Pd2: simulated powder XRD pattern (Cu Ka), based on a PBE-relaxed structure.
Peak positions follow from Bragg's law for the DFT cell and can differ from measured ones.

```
MoAs2Pd2
1.0
3.8922 0.0000 0.0000
0.0000 3.8922 0.0000
0.0000 0.0000 11.5018
Mo As Pd
2 4 4
Cartesian
0.9730 0.9730 2.4183 Mo
2.9191 2.9191 9.0835 Mo
0.9730 0.9730 9.8328 As
0.9730 2.9191 5.7509 As
2.9191 0.9730 5.7509 As
2.9191 2.9191 1.6690 As
0.9730 0.9730 7.4509 Pd
0.9730 2.9191 0.0000 Pd
2.9191 0.9730 0.0000 Pd
2.9191 2.9191 4.0509 Pd
```

The 10 most intense peaks (2θ = 10–90°), in order of rising 2θ:
d/Å, I_rel
2.731, 249
2.483, 1000
1.988, 424
1.980, 228
1.946, 511
1.388, 140
1.376, 161
1.366, 143
1.204, 195
1.132, 134


# 5
MoAsPt2: simulated powder XRD pattern (Cu Ka), based on a PBE-relaxed structure.
Peak positions follow from Bragg's law for the DFT cell and can differ from measured ones.

```
MoAsPt2
1.0
0.0000 3.1573 3.1573
3.1573 0.0000 3.1573
3.1573 3.1573 0.0000
Mo As Pt
1 1 2
Cartesian
0.0000 0.0000 0.0000 Mo
4.7359 4.7359 4.7359 As
1.5786 1.5786 1.5786 Pt
3.1573 3.1573 3.1573 Pt
```

The 8 most intense peaks (2θ = 10–90°), in order of rising 2θ:
d/Å, I_rel
3.646, 167
2.233, 1000
1.904, 90
1.579, 169
1.449, 38
1.289, 346
1.215, 29
1.116, 114


# 6
SmMoAs4: simulated powder XRD pattern (Cu Ka), based on a PBE-relaxed structure.
Peak positions follow from Bragg's law for the DFT cell and can differ from measured ones.

```
SmMoAs4
1.0
4.7278 -1.7401 0.0000
4.7278 1.7401 0.0000
-3.9597 0.0000 7.6746
Sm Mo As
1 1 4
Cartesian
0.0000 0.0000 0.0000 Sm
1.3735 0.0000 3.1245 Mo
6.9167 0.0000 4.9131 As
-0.0523 0.0000 5.2859 As
4.0973 0.0000 2.4737 As
6.7680 0.0000 1.2681 As
```

The 10 most intense peaks (2θ = 10–90°), in order of rising 2θ:
d/Å, I_rel
4.704, 316
2.838, 229
2.796, 1000
2.558, 265
2.277, 678
2.199, 323
2.182, 336
2.101, 272
2.063, 409
1.740, 258


# 7
Te2MoAs: simulated powder XRD pattern (Cu Ka), based on a PBE-relaxed structure.
Peak positions follow from Bragg's law for the DFT cell and can differ from measured ones.

```
Te2MoAs
1.0
0.0000 3.4670 3.4670
3.4670 0.0000 3.4670
3.4670 3.4670 0.0000
Te Mo As
2 1 1
Cartesian
0.0000 0.0000 0.0000 Te
1.7335 1.7335 1.7335 Te
5.2005 5.2005 5.2005 Mo
3.4670 3.4670 3.4670 As
```

The 10 most intense peaks (2θ = 10–90°), in order of rising 2θ:
d/Å, I_rel
4.003, 38
2.452, 1000
2.091, 20
1.734, 172
1.591, 9
1.415, 348
1.334, 6
1.226, 108
1.172, 6
1.096, 159